1.
The following is a simulated PXRD pattern of PuCd2Sn2. It was derived from DFT lattice parameters and positions (GGA-PBE), using Cu Kα (weighted mean of Kα1 and Kα2).
Peak positions follow from Bragg's law for the DFT cell and can differ from measured ones.

Largest 10 diffraction maxima, low angle first, 15° ≤ 2θ ≤ 90°:
2θ/deg	intensity	hkl
33.68	100	1 5 1
36.79	17	0 10 0
40.13	16	2 0 0
40.27	16	0 0 2
55.57	11	2 10 0
55.68	11	0 10 2
58.16	11	2 0 2
64.29	11	1 15 1
68.82	13	3 5 1
69.01	13	1 5 3

Cell and atoms:
abc: 4.4938 24.4314 4.4791
angles: 90.00 90.00 90.00
Space group Cmcm (No. 63)
Inequivalent atoms, fractional coordinates:
Pu (0.0000, 0.1489, 0.2500)
Cd (0.0000, 0.0428, 0.7500)
Cd (0.0000, 0.4541, 0.7500)
Sn (0.0000, 0.2497, 0.7500)
Sn (0.0000, 0.3639, 0.2500)

***

2.
The following is a simulated PXRD pattern of La3PrPb2Se. It was derived from DFT lattice parameters and positions (GGA-PBE), using Cu Kα (weighted mean of Kα1 and Kα2).
Peak positions follow from Bragg's law for the DFT cell and can differ from measured ones.

Largest 10 diffraction maxima, low angle first, 15° ≤ 2θ ≤ 90°:
2θ/deg	intensity	hkl
22.81	53	1 1 0
25.12	57	1 1 2
30.88	51	0 1 5
31.11	100	1 1 4
31.55	27	0 0 6
32.40	51	0 2 0
32.55	51	2 0 0
45.42	35	2 1 5
46.58	38	2 2 0
57.00	23	1 3 4

Cell and atoms:
abc: 5.5025 5.5268 17.0146
angles: 90.00 90.00 90.00
Space group Immm (No. 71)
Inequivalent atoms, fractional coordinates:
La (0.0000, 0.0000, 0.0000)
La (0.0000, 0.5000, 0.1745)
Pr (0.0000, 0.0000, 0.5000)
Pb (0.0000, 0.5000, 0.3676)
Se (0.0000, 0.5000, 0.0000)